Diffraction record for DyInPt2. The powder XRD pattern is simulated, not measured: it uses a structure optimized by DFT (PBE) and CuKα.

Cell and atoms:
```
DyInPt2
1.0
4.5876 0.0000 0.0000
-2.2938 3.9730 0.0000
0.0000 0.0000 9.0805
Dy In Pt
2 2 4
direct
0.3333 0.6667 0.2500 Dy
0.6667 0.3333 0.7500 Dy
0.0000 0.0000 0.0000 In
0.0000 0.0000 0.5000 In
0.3333 0.6667 0.5922 Pt
0.3333 0.6667 0.9078 Pt
0.6667 0.3333 0.0922 Pt
0.6667 0.3333 0.4078 Pt
```

Peak list (6 most intense, 15° ≤ 2θ ≤ 90°, sorted by position)
2θ = 22.4°, 3.973 Å, rel. 20, hkl 1 0 0; 2θ = 37.3°, 2.408 Å, rel. 100, hkl 1 0 3; 2θ = 39.3°, 2.294 Å, rel. 87, hkl 1 1 0; 2θ = 55.3°, 1.661 Å, rel. 33, hkl 2 0 3; 2θ = 69.9°, 1.345 Å, rel. 32, hkl 2 1 3; 2θ = 71.2°, 1.324 Å, rel. 15, hkl 3 0 0